The following is a calculated X-ray diffraction stick pattern of LiMnF3. It was derived from DFT lattice parameters and positions (GGA+U), using CuKα.

Top 10 peaks for 2θ from 15° to 90°, sorted by position:
- 22.47°, d = 3.957 Å, intensity 100, hkl 0 1 2
- 30.25°, d = 2.955 Å, intensity 41, hkl 1 0 4
- 33.64°, d = 2.664 Å, intensity 12, hkl 1 1 0
- 38.06°, d = 2.364 Å, intensity 37, hkl 1 1 3
- 40.83°, d = 2.210 Å, intensity 15, hkl 2 0 2
- 45.86°, d = 1.979 Å, intensity 18, hkl 0 2 4
- 49.33°, d = 1.848 Å, intensity 47, hkl 1 1 6
- 53.90°, d = 1.701 Å, intensity 15, hkl 3 -2 2
- 58.07°, d = 1.588 Å, intensity 13, hkl 2 1 4
- 60.16°, d = 1.538 Å, intensity 22, hkl 3 0 0

Cell lengths 5.3284, 5.3284, 15.3859 Å; angles 90.00, 90.00, 120.00 degrees
Space group P-3 (No. 147)
Asymmetric unit:
Li 0.0000 0.0000 0.1700
Li 0.0000 0.0000 0.3239
Li 0.3333 0.6667 0.4452
Mn 0.0000 0.0000 0.0000
Mn 0.0000 0.0000 0.5000
Mn 0.3333 0.6667 0.1593
Mn 0.3333 0.6667 0.6827
F 0.0135 0.6931 0.2610
F 0.0174 0.6834 0.5804
F 0.0295 0.3074 0.0978